1.
For K2PS4, a structure optimized by DFT (GGA-PBE) gives the simulated X-ray diffraction stick pattern in this record (copper Kα).

Cell and atoms:
Unit cell a=7.129 b=6.315 c=7.558 alpha=61.07 beta=50.83 gamma=68.10
Atoms (fractional coordinates):
K (0.000, 0.000, 0.500)
K (0.500, 0.500, 0.000)
P (0.096, 0.096, 0.904)
S (0.066, 0.766, 0.934)
S (0.083, 0.377, 0.623)
S (0.377, 0.083, 0.917)
S (0.766, 0.066, 0.234)

Peak list (10 most intense, 10° ≤ 2θ ≤ 90°, low angle first)
- 16.1°, intensity 100
- 24.0°, intensity 17
- 27.0°, intensity 31
- 28.6°, intensity 49
- 30.7°, intensity 12
- 30.9°, intensity 27
- 32.6°, intensity 31
- 36.0°, intensity 16
- 37.9°, intensity 29
- 49.7°, intensity 16

2.
For KPS3, a structure optimized by DFT (GGA-PBE) gives the simulated X-ray diffraction stick pattern in this record (copper Kα).

Cell and atoms:
Unit cell a=6.951 b=6.951 c=7.969 alpha=90.00 beta=90.00 gamma=120.00
Atoms (fractional coordinates):
K (0.333, 0.667, 0.250)
K (0.667, 0.333, 0.750)
P (0.000, 0.000, 0.250)
P (0.000, 0.000, 0.750)
S (0.152, 0.325, 0.750)
S (0.172, 0.848, 0.750)
S (0.325, 0.172, 0.250)
S (0.675, 0.828, 0.750)
S (0.828, 0.152, 0.250)
S (0.848, 0.675, 0.250)

Peak list (10 most intense, 10° ≤ 2θ ≤ 90°, low angle first)
- 14.7°, intensity 26
- 22.3°, intensity 91
- 26.8°, intensity 10
- 31.8°, intensity 100
- 45.5°, intensity 43
- 52.7°, intensity 20
- 57.9°, intensity 29
- 62.8°, intensity 11
- 66.4°, intensity 10
- 72.1°, intensity 22

3.
For KTlPS4, a structure optimized by DFT (GGA-PBE) gives the simulated X-ray diffraction stick pattern in this record (copper Kα).

Cell and atoms:
Unit cell a=6.786 b=6.786 c=9.792 alpha=90.00 beta=90.00 gamma=119.04
Atoms (fractional coordinates):
K (0.192, 0.808, 0.750)
K (0.808, 0.192, 0.250)
Tl (0.500, 0.500, 0.000)
Tl (0.500, 0.500, 0.500)
P (0.152, 0.848, 0.250)
P (0.848, 0.152, 0.750)
S (0.197, 0.298, 0.750)
S (0.245, 0.755, 0.076)
S (0.245, 0.755, 0.424)
S (0.298, 0.197, 0.250)
S (0.702, 0.803, 0.750)
S (0.755, 0.245, 0.576)
S (0.755, 0.245, 0.924)
S (0.803, 0.702, 0.250)

Peak list (10 most intense, 10° ≤ 2θ ≤ 90°, low angle first)
- 14.9°, intensity 67
- 15.1°, intensity 25
- 23.6°, intensity 100
- 25.9°, intensity 27
- 26.3°, intensity 53
- 31.8°, intensity 24
- 35.4°, intensity 43
- 39.9°, intensity 26
- 44.7°, intensity 26
- 45.7°, intensity 22

4.
For KVP2S7, a structure optimized by DFT (GGA-PBE) gives the simulated X-ray diffraction stick pattern in this record (copper Kα).

Cell and atoms:
Unit cell a=6.531 b=6.531 c=6.592 alpha=95.35 beta=95.35 gamma=96.95
Atoms (fractional coordinates):
K (0.000, 0.000, 0.000)
V (0.614, 0.386, 0.500)
P (0.061, 0.538, 0.419)
P (0.462, 0.939, 0.581)
S (0.131, 0.869, 0.500)
S (0.294, 0.424, 0.281)
S (0.482, 0.199, 0.778)
S (0.576, 0.706, 0.719)
S (0.588, 0.038, 0.329)
S (0.801, 0.518, 0.222)
S (0.962, 0.412, 0.671)

Peak list (10 most intense, 10° ≤ 2θ ≤ 90°, low angle first)
- 13.6°, intensity 100
- 18.1°, intensity 21
- 18.3°, intensity 33
- 22.7°, intensity 45
- 27.7°, intensity 49
- 31.8°, intensity 31
- 32.0°, intensity 64
- 32.2°, intensity 62
- 33.0°, intensity 21
- 45.8°, intensity 35

5.
For KYP2S8, a structure optimized by DFT (GGA-PBE) gives the simulated X-ray diffraction stick pattern in this record (copper Kα).

Cell and atoms:
Unit cell a=9.856 b=9.856 c=9.856 alpha=36.65 beta=36.65 gamma=36.65
Atoms (fractional coordinates):
K (0.000, 0.000, 0.000)
Y (0.500, 0.500, 0.500)
P (0.245, 0.245, 0.245)
P (0.755, 0.755, 0.755)
S (0.074, 0.813, 0.441)
S (0.187, 0.559, 0.926)
S (0.319, 0.319, 0.319)
S (0.441, 0.074, 0.813)
S (0.559, 0.926, 0.187)
S (0.681, 0.681, 0.681)
S (0.813, 0.441, 0.074)
S (0.926, 0.187, 0.559)

Peak list (10 most intense, 10° ≤ 2θ ≤ 90°, low angle first)
- 21.0°, intensity 100
- 23.1°, intensity 25
- 28.8°, intensity 37
- 30.4°, intensity 57
- 30.8°, intensity 26
- 34.9°, intensity 81
- 35.9°, intensity 27
- 46.7°, intensity 24
- 49.4°, intensity 47
- 51.0°, intensity 44

6.
For KZnPS4, a structure optimized by DFT (GGA-PBE) gives the simulated X-ray diffraction stick pattern in this record (copper Kα).

Cell and atoms:
Unit cell a=5.958 b=7.728 c=8.882 alpha=90.00 beta=106.02 gamma=90.00
Atoms (fractional coordinates):
K (0.231, 0.250, 0.102)
K (0.769, 0.750, 0.898)
Zn (0.289, 0.250, 0.692)
Zn (0.711, 0.750, 0.308)
P (0.204, 0.750, 0.290)
P (0.796, 0.250, 0.710)
S (0.015, 0.040, 0.722)
S (0.015, 0.460, 0.722)
S (0.347, 0.750, 0.102)
S (0.488, 0.750, 0.484)
S (0.512, 0.250, 0.516)
S (0.653, 0.250, 0.898)
S (0.985, 0.540, 0.278)
S (0.985, 0.960, 0.278)

Peak list (10 most intense, 10° ≤ 2θ ≤ 90°, low angle first)
- 15.5°, intensity 100
- 20.8°, intensity 15
- 23.0°, intensity 34
- 23.8°, intensity 18
- 27.9°, intensity 24
- 29.3°, intensity 29
- 32.2°, intensity 17
- 34.6°, intensity 15
- 39.2°, intensity 18
- 47.0°, intensity 16

7.
For K2ZnP2S6, a structure optimized by DFT (GGA-PBE) gives the simulated X-ray diffraction stick pattern in this record (copper Kα).

Cell and atoms:
Unit cell a=7.757 b=7.757 c=7.757 alpha=51.48 beta=51.48 gamma=51.48
Atoms (fractional coordinates):
K (0.231, 0.231, 0.231)
K (0.769, 0.769, 0.769)
Zn (0.000, 0.000, 0.000)
P (0.440, 0.440, 0.440)
P (0.560, 0.560, 0.560)
S (0.236, 0.749, 0.749)
S (0.251, 0.251, 0.764)
S (0.251, 0.764, 0.251)
S (0.749, 0.236, 0.749)
S (0.749, 0.749, 0.236)
S (0.764, 0.251, 0.251)

Peak list (10 most intense, 10° ≤ 2θ ≤ 90°, low angle first)
- 17.6°, intensity 60
- 26.5°, intensity 42
- 26.6°, intensity 34
- 26.9°, intensity 25
- 31.9°, intensity 30
- 35.6°, intensity 100
- 38.1°, intensity 19
- 47.7°, intensity 22
- 48.9°, intensity 22
- 54.5°, intensity 37

8.
For KSbP2, a structure optimized by DFT (GGA-PBE) gives the simulated X-ray diffraction stick pattern in this record (copper Kα).

Cell and atoms:
Unit cell a=6.857 b=6.857 c=6.857 alpha=114.30 beta=114.30 gamma=100.20
Atoms (fractional coordinates):
K (0.000, 0.000, 0.000)
K (0.750, 0.250, 0.500)
Sb (0.250, 0.750, 0.500)
Sb (0.500, 0.500, 0.000)
P (0.203, 0.625, 0.078)
P (0.375, 0.453, 0.578)
P (0.547, 0.125, 0.922)
P (0.875, 0.797, 0.422)

Peak list (10 most intense, 10° ≤ 2θ ≤ 90°, low angle first)
- 15.6°, intensity 60
- 23.9°, intensity 27
- 26.4°, intensity 100
- 28.7°, intensity 13
- 34.1°, intensity 33
- 41.0°, intensity 14
- 43.6°, intensity 46
- 45.1°, intensity 13
- 48.1°, intensity 32
- 71.0°, intensity 14

9.
For KSbP2, a structure optimized by DFT (GGA-PBE) gives the simulated X-ray diffraction stick pattern in this record (copper Kα).

Cell and atoms:
Unit cell a=6.113 b=6.113 c=6.113 alpha=149.05 beta=120.35 gamma=68.72
Atoms (fractional coordinates):
K (0.000, 0.000, 0.000)
Sb (0.681, 0.181, 0.500)
P (0.305, 0.805, 0.500)
P (0.453, 0.453, 0.000)

Peak list (10 most intense, 10° ≤ 2θ ≤ 90°, low angle first)
- 17.0°, intensity 66
- 17.6°, intensity 16
- 28.8°, intensity 34
- 29.4°, intensity 61
- 30.4°, intensity 63
- 36.0°, intensity 100
- 38.4°, intensity 17
- 41.6°, intensity 25
- 49.1°, intensity 17
- 56.5°, intensity 34

10.
For KSbP3, a structure optimized by DFT (GGA-PBE) gives the simulated X-ray diffraction stick pattern in this record (copper Kα).

Cell and atoms:
Unit cell a=5.197 b=5.197 c=5.197 alpha=90.00 beta=90.00 gamma=90.00
Atoms (fractional coordinates):
K (0.000, 0.000, 0.000)
Sb (0.500, 0.500, 0.500)
P (0.000, 0.500, 0.500)
P (0.500, 0.000, 0.500)
P (0.500, 0.500, 0.000)

Peak list (10 most intense, 10° ≤ 2θ ≤ 90°, low angle first)
- 17.1°, intensity 84
- 24.2°, intensity 100
- 34.5°, intensity 75
- 38.7°, intensity 42
- 42.6°, intensity 44
- 49.6°, intensity 50
- 52.9°, intensity 21
- 56.0°, intensity 19
- 67.4°, intensity 21
- 83.1°, intensity 22

11.
For K2ScP, a structure optimized by DFT (GGA-PBE) gives the simulated X-ray diffraction stick pattern in this record (copper Kα).

Cell and atoms:
Unit cell a=11.094 b=11.094 c=11.094 alpha=21.73 beta=21.73 gamma=21.73
Atoms (fractional coordinates):
K (0.000, 0.000, 0.000)
K (0.203, 0.203, 0.203)
Sc (0.429, 0.429, 0.429)
P (0.737, 0.737, 0.737)

Peak list (10 most intense, 10° ≤ 2θ ≤ 90°, low angle first)
- 24.7°, intensity 46
- 27.0°, intensity 100
- 28.2°, intensity 57
- 31.3°, intensity 31
- 37.2°, intensity 21
- 43.3°, intensity 42
- 44.1°, intensity 20
- 46.5°, intensity 16
- 50.4°, intensity 28
- 51.7°, intensity 14

12.
For K2ScP2Se7, a structure optimized by DFT (GGA-PBE) gives the simulated X-ray diffraction stick pattern in this record (copper Kα).

Cell and atoms:
Unit cell a=11.998 b=11.998 c=20.600 alpha=112.68 beta=112.68 gamma=33.32
Atoms (fractional coordinates):
K (0.018, 0.578, 0.326)
K (0.020, 0.968, 0.638)
K (0.032, 0.980, 0.862)
K (0.422, 0.982, 0.174)
K (0.578, 0.018, 0.826)
K (0.968, 0.020, 0.138)
K (0.980, 0.032, 0.362)
K (0.982, 0.422, 0.674)
Sc (0.161, 0.502, 0.997)
Sc (0.498, 0.839, 0.503)
Sc (0.502, 0.161, 0.497)
Sc (0.839, 0.498, 0.003)
P (0.066, 0.291, 0.857)
P (0.291, 0.066, 0.357)
P (0.431, 0.467, 0.957)
P (0.467, 0.431, 0.457)
P (0.533, 0.569, 0.543)
P (0.569, 0.533, 0.043)
P (0.709, 0.934, 0.643)
P (0.934, 0.709, 0.143)
Se (0.026, 0.248, 0.278)
Se (0.040, 0.498, 0.855)
Se (0.096, 0.756, 0.969)
Se (0.207, 0.225, 0.470)
Se (0.221, 0.561, 0.497)
Se (0.225, 0.207, 0.970)
Se (0.235, 0.539, 0.141)
Se (0.244, 0.904, 0.531)
Se (0.248, 0.026, 0.778)
Se (0.394, 0.492, 0.352)
Se (0.439, 0.779, 0.003)
Se (0.461, 0.765, 0.359)
Se (0.492, 0.394, 0.852)
Se (0.498, 0.040, 0.355)
Se (0.502, 0.960, 0.645)
Se (0.508, 0.606, 0.148)
Se (0.539, 0.235, 0.641)
Se (0.561, 0.221, 0.997)
Se (0.606, 0.508, 0.648)
Se (0.752, 0.974, 0.222)
Se (0.756, 0.096, 0.469)
Se (0.765, 0.461, 0.859)
Se (0.775, 0.793, 0.030)
Se (0.779, 0.439, 0.503)
Se (0.793, 0.775, 0.530)
Se (0.904, 0.244, 0.031)
Se (0.960, 0.502, 0.145)
Se (0.974, 0.752, 0.722)

Peak list (10 most intense, 10° ≤ 2θ ≤ 90°, low angle first)
- 13.8°, intensity 30
- 15.5°, intensity 32
- 24.8°, intensity 36
- 25.8°, intensity 40
- 28.4°, intensity 46
- 30.2°, intensity 100
- 30.4°, intensity 80
- 30.6°, intensity 28
- 31.3°, intensity 27
- 32.4°, intensity 26

Copy entry 10 word for word.
For KSbP3, a structure optimized by DFT (GGA-PBE) gives the simulated X-ray diffraction stick pattern in this record (copper Kα).

Cell and atoms:
Unit cell a=5.197 b=5.197 c=5.197 alpha=90.00 beta=90.00 gamma=90.00
Atoms (fractional coordinates):
K (0.000, 0.000, 0.000)
Sb (0.500, 0.500, 0.500)
P (0.000, 0.500, 0.500)
P (0.500, 0.000, 0.500)
P (0.500, 0.500, 0.000)

Peak list (10 most intense, 10° ≤ 2θ ≤ 90°, low angle first)
- 17.1°, intensity 84
- 24.2°, intensity 100
- 34.5°, intensity 75
- 38.7°, intensity 42
- 42.6°, intensity 44
- 49.6°, intensity 50
- 52.9°, intensity 21
- 56.0°, intensity 19
- 67.4°, intensity 21
- 83.1°, intensity 22